Simulated PXRD pattern
Compound: Tl4HgSe2
Radiation: Cu Ka
Structure: DFT lattice parameters and positions (PBE)
Lines closer than 0.1° are merged.

Main lines, sorted by position (2θ = 10–90°):
| Position (°2θ) | d (Å) | Rel. int. |
| --- | --- | --- |
| 25.81 | 3.452 | 100 |
| 26.46 | 3.368 | 39 |
| 31.80 | 2.814 | 45 |
| 33.15 | 2.702 | 57 |
| 41.96 | 2.153 | 36 |
| 53.07 | 1.726 | 28 |

```
Tl4HgSe2
1.0
8.639 -2.186 0.000
8.639 2.186 0.000
-2.764 0.000 6.906
Tl Hg Se
4 1 2
direct
0.135 0.135 0.350
0.351 0.351 0.208
0.649 0.649 0.792
0.865 0.865 0.650
0.500 0.500 0.000
0.270 0.270 0.769
0.730 0.730 0.231
```